Theoretical powder diffraction line list of SrLi12Zn6 for Cu Kα, from a cell relaxed with PBE.
Kinematic intensities with the Lorentz-polarization factor, no thermal factor.

Peak list (12 most intense, 5° ≤ 2θ ≤ 70°, sorted by position)
d_spacing, intensity, hkl
4.348, 57, 0 1 2
3.514, 53, 2 1 1
3.471, 69, 2 0 2
2.973, 52, 1 2 2
2.881, 100, 2 2 0
2.402, 23, 3 1 2
2.217, 22, 0 4 2
2.174, 56, 0 2 4
2.069, 18, 2 3 2
1.757, 15, 4 2 2
1.736, 19, 4 0 4
1.487, 19, 2 4 4

Structural model:
```
data_SrLi12Zn6
_space_group_name_H-M_alt 'R -3 m'
_space_group_IT_number 166
_space_group_name_Hall '-R 3 2"'
_cell_length_a 11.5258
_cell_length_b 11.5258
_cell_length_c 9.6617
_cell_angle_alpha 90.00
_cell_angle_beta 90.00
_cell_angle_gamma 120.00
loop_
_atom_site_label
_atom_site_type_symbol
_atom_site_fract_x
_atom_site_fract_y
_atom_site_fract_z
Sr1 Sr 0.0000 0.0000 0.0000
Li1 Li 0.0000 0.3875 0.5000
Li2 Li 0.0928 0.1857 0.3394
Zn1 Zn 0.0268 0.5134 0.2581
```

Theoretical powder diffraction line list of La3TbSb2 for Cu Kα, from a cell relaxed with PBE.
Kinematic intensities with the Lorentz-polarization factor, no thermal factor.

Peak list (12 most intense, 5° ≤ 2θ ≤ 70°, sorted by position)
d_spacing, intensity, hkl
3.228, 28, 1 4 1
3.092, 83, 2 2 0
3.078, 82, 0 2 2
2.992, 65, 0 6 0
2.655, 79, 2 4 0
2.646, 78, 0 4 2
2.515, 41, 1 6 1
2.323, 100, 2 0 2
1.835, 63, 2 6 2
1.674, 22, 1 10 1
1.398, 21, 4 4 2
1.394, 21, 2 4 4

Structural model:
```
data_La3TbSb2
_space_group_name_H-M_alt 'I b a m'
_space_group_IT_number 72
_space_group_name_Hall '-I 2 2c'
_cell_length_a 6.5868
_cell_length_b 17.9503
_cell_length_c 6.5536
_cell_angle_alpha 90.00
_cell_angle_beta 90.00
_cell_angle_gamma 90.00
loop_
_atom_site_label
_atom_site_type_symbol
_atom_site_fract_x
_atom_site_fract_y
_atom_site_fract_z
La1 La 0.0000 0.0000 0.2500
La2 La 0.2485 0.1774 0.0000
Tb1 Tb 0.0000 0.5000 0.2500
Sb1 Sb 0.2436 0.3631 0.0000
```